The following is a simulated powder diffractogram of Tl2Hg5H2. It was derived from a GGA-PBE-relaxed structure, using Cu Kα (weighted mean of Kα1 and Kα2).
No peak broadening, texture or thermal motion is included.

Atomic structure:
```
data_Tl2Hg5H2
_chemical_formula_sum 'Tl8 Hg20 H8'
_space_group_name_H-M_alt 'C 1 2 1'
_space_group_IT_number 5
_cell_length_a 19.9852
_cell_length_b 3.4233
_cell_length_c 13.9044
_cell_angle_alpha 90.00
_cell_angle_beta 115.94
_cell_angle_gamma 90.00
loop_
_space_group_symop_operation_xyz
'x,y,z'
'-x,y,-z'
'x+1/2,y+1/2,z'
'-x+1/2,y+1/2,-z'
loop_
_atom_site_label
_atom_site_type_symbol
_atom_site_fract_x
_atom_site_fract_y
_atom_site_fract_z
Tl1 Tl 0.0000 0.0000 0.0000
Tl2 Tl 0.0000 0.0275 0.5000
Tl3 Tl 0.0050 0.4830 0.7658
Hg1 Hg 0.1507 0.5042 0.6424
Hg2 Hg 0.1543 0.5215 0.0287
Hg3 Hg 0.1703 0.6192 0.4395
Hg4 Hg 0.1737 0.0131 0.8469
Hg5 Hg 0.1873 0.0812 0.2519
H1 H 0.0175 0.0302 0.3478
H2 H 0.0843 0.1534 0.1974
```

Main lines, by angle (2θ from 15° to 90°):
- d 2.995, rel. 100
- d 2.943, rel. 83
- d 2.757, rel. 44
- d 2.738, rel. 30
- d 2.729, rel. 33
- d 2.714, rel. 33
- d 2.484, rel. 77
- d 2.167, rel. 26

=====

The following is a simulated powder diffractogram of YHg2H. It was derived from a GGA-PBE-relaxed structure, using Cu Kα (weighted mean of Kα1 and Kα2).
No peak broadening, texture or thermal motion is included.

Atomic structure:
```
data_YHg2H
_chemical_formula_sum 'Y2 Hg4 H2'
_space_group_name_H-M_alt 'P 1 21/m 1'
_space_group_IT_number 11
_cell_length_a 3.8500
_cell_length_b 4.6237
_cell_length_c 8.6137
_cell_angle_alpha 90.00
_cell_angle_beta 90.10
_cell_angle_gamma 90.00
loop_
_space_group_symop_operation_xyz
'x,y,z'
'-x,-y,-z'
'-x,y+1/2,-z'
'x,-y+1/2,z'
loop_
_atom_site_label
_atom_site_type_symbol
_atom_site_fract_x
_atom_site_fract_y
_atom_site_fract_z
Y1 Y 0.2504 0.2500 0.1250
Hg1 Hg 0.2488 0.2500 0.7499
Hg2 Hg 0.2506 0.7500 0.5414
H1 H 0.2504 0.7500 0.0031
```

Main lines, by angle (2θ from 15° to 90°):
- d 3.515, rel. 20
- d 2.871, rel. 20
- d 2.798, rel. 43
- d 2.439, rel. 100
- d 2.312, rel. 23
- d 1.925, rel. 14
- d 1.358, rel. 16
- d 1.300, rel. 13

=====

The following is a simulated powder diffractogram of ZnHgH2. It was derived from a GGA-PBE-relaxed structure, using Cu Kα (weighted mean of Kα1 and Kα2).
No peak broadening, texture or thermal motion is included.

Atomic structure:
Cell lengths 7.8647, 7.8647, 7.8647 Å; angles 90.00, 90.00, 90.00 degrees
Space group Fd-3m (No. 227, origin choice 2)
Asymmetric unit:
1 Zn 0.1250 0.1250 0.1250 x8
2 Hg 0.1250 0.1250 0.6250 x8
3 H 0.0000 0.0000 0.0000 x16

Main lines, by angle (2θ from 15° to 90°):
- d 4.541, rel. 23
- d 2.781, rel. 100
- d 2.371, rel. 15
- d 1.966, rel. 18
- d 1.804, rel. 7
- d 1.605, rel. 39
- d 1.390, rel. 12
- d 1.244, rel. 17

=====

The following is a simulated powder diffractogram of Zr4Hg2H. It was derived from a GGA-PBE-relaxed structure, using Cu Kα (weighted mean of Kα1 and Kα2).
No peak broadening, texture or thermal motion is included.

Atomic structure:
```
data_Zr4Hg2H
_chemical_formula_sum 'Zr8 Hg4 H2'
_space_group_name_H-M_alt 'P 1 21/m 1'
_space_group_IT_number 11
_cell_length_a 5.7544
_cell_length_b 5.7694
_cell_length_c 8.7223
_cell_angle_alpha 90.00
_cell_angle_beta 108.21
_cell_angle_gamma 90.00
loop_
_space_group_symop_operation_xyz
'x,y,z'
'-x,-y,-z'
'-x,y+1/2,-z'
'x,-y+1/2,z'
loop_
_atom_site_label
_atom_site_type_symbol
_atom_site_fract_x
_atom_site_fract_y
_atom_site_fract_z
Zr1 Zr 0.1530 0.2500 0.0534
Zr2 Zr 0.2289 0.5022 0.6903
Zr3 Zr 0.2672 0.7500 0.3187
Hg1 Hg 0.2961 0.2500 0.3975
Hg2 Hg 0.3813 0.7500 0.0172
H1 H 0.0920 0.2500 0.8073
```

Main lines, by angle (2θ from 15° to 90°):
- d 3.946, rel. 70
- d 2.762, rel. 94
- d 2.733, rel. 59
- d 2.574, rel. 75
- d 2.545, rel. 65
- d 2.367, rel. 61
- d 2.344, rel. 100
- d 2.203, rel. 66

=====

The following is a simulated powder diffractogram of Ho3H. It was derived from a GGA-PBE-relaxed structure, using Cu Kα (weighted mean of Kα1 and Kα2).
No peak broadening, texture or thermal motion is included.

Atomic structure:
```
data_Ho3H
_chemical_formula_sum 'Ho6 H2'
_space_group_name_H-M_alt 'I m m 2'
_space_group_IT_number 44
_cell_length_a 3.3306
_cell_length_b 9.7553
_cell_length_c 5.7969
_cell_angle_alpha 90.00
_cell_angle_beta 90.00
_cell_angle_gamma 90.00
loop_
_space_group_symop_operation_xyz
'x,y,z'
'-x,-y,z'
'-x,y,z'
'x,-y,z'
'x+1/2,y+1/2,z+1/2'
'-x+1/2,-y+1/2,z+1/2'
'-x+1/2,y+1/2,z+1/2'
'x+1/2,-y+1/2,z+1/2'
loop_
_atom_site_label
_atom_site_type_symbol
_atom_site_fract_x
_atom_site_fract_y
_atom_site_fract_z
Ho1 Ho 0.0000 0.0000 0.0000
Ho2 Ho 0.0000 0.1790 0.4781
H1 H 0.0000 0.5000 0.8160
```

Main lines, by angle (2θ from 15° to 90°):
- d 3.152, rel. 53
- d 2.898, rel. 54
- d 2.836, rel. 100
- d 2.485, rel. 82
- d 2.134, rel. 36
- d 1.661, rel. 20
- d 1.456, rel. 20
- d 1.436, rel. 25

=====

The following is a simulated powder diffractogram of HoH3. It was derived from a GGA-PBE-relaxed structure, using Cu Kα (weighted mean of Kα1 and Kα2).
No peak broadening, texture or thermal motion is included.

Atomic structure:
```
data_HoH3
_chemical_formula_sum 'Ho2 H6'
_space_group_name_H-M_alt 'P 63/m m c'
_space_group_IT_number 194
_space_group_name_Hall '-P 6c 2c'
_cell_length_a 3.6244
_cell_length_b 3.6244
_cell_length_c 6.5037
_cell_angle_alpha 90.00
_cell_angle_beta 90.00
_cell_angle_gamma 120.00
loop_
_atom_site_label
_atom_site_type_symbol
_atom_site_fract_x
_atom_site_fract_y
_atom_site_fract_z
Ho1 Ho 0.3333 0.6667 0.2500
H1 H 0.0000 0.0000 0.2500
H2 H 0.3333 0.6667 0.5938
```

Main lines, by angle (2θ from 15° to 90°):
- d 3.252, rel. 33
- d 3.139, rel. 22
- d 2.827, rel. 100
- d 2.258, rel. 17
- d 1.812, rel. 19
- d 1.784, rel. 27
- d 1.583, rel. 24
- d 1.526, rel. 16

=====

The following is a simulated powder diffractogram of HoH3. It was derived from a GGA-PBE-relaxed structure, using Cu Kα (weighted mean of Kα1 and Kα2).
No peak broadening, texture or thermal motion is included.

Atomic structure:
```
data_HoH3
_chemical_formula_sum 'Ho6 H18'
_space_group_name_H-M_alt 'P -3 c 1'
_space_group_IT_number 165
_space_group_name_Hall '-P 3 2"c'
_cell_length_a 6.2547
_cell_length_b 6.2547
_cell_length_c 6.5064
_cell_angle_alpha 90.00
_cell_angle_beta 90.00
_cell_angle_gamma 120.00
loop_
_atom_site_label
_atom_site_type_symbol
_atom_site_fract_x
_atom_site_fract_y
_atom_site_fract_z
Ho1 Ho 0.0000 0.3369 0.2500
H1 H 0.0000 0.0000 0.2500
H2 H 0.0291 0.3508 0.5921
H3 H 0.3333 0.6667 0.3165
```

Main lines, by angle (2θ from 15° to 90°):
- d 3.253, rel. 33
- d 3.127, rel. 22
- d 2.819, rel. 100
- d 2.255, rel. 18
- d 1.806, rel. 19
- d 1.782, rel. 27
- d 1.579, rel. 24
- d 1.520, rel. 16

=====

The following is a simulated powder diffractogram of HoH4. It was derived from a GGA-PBE-relaxed structure, using Cu Kα (weighted mean of Kα1 and Kα2).
No peak broadening, texture or thermal motion is included.

Atomic structure:
```
data_HoH4
_chemical_formula_sum 'Ho1 H4'
_space_group_name_H-M_alt 'P m -3 m'
_space_group_IT_number 221
_space_group_name_Hall '-P 4 2 3'
_cell_length_a 4.1751
_cell_length_b 4.1751
_cell_length_c 4.1751
_cell_angle_alpha 90.00
_cell_angle_beta 90.00
_cell_angle_gamma 90.00
loop_
_atom_site_label
_atom_site_type_symbol
_atom_site_fract_x
_atom_site_fract_y
_atom_site_fract_z
Ho1 Ho 0.0000 0.0000 0.0000
H1 H 0.0000 0.0000 0.5000
H2 H 0.5000 0.5000 0.5000
```

Main lines, by angle (2θ from 15° to 90°):
- d 4.175, rel. 100
- d 2.952, rel. 83
- d 2.410, rel. 30
- d 2.088, rel. 17
- d 1.867, rel. 45
- d 1.704, rel. 34
- d 1.392, rel. 21
- d 1.116, rel. 18

=====

Question: Number 5 is which compound?
Answer: Ho3H